1.
This entry pairs a crystal structure of SmY5Au6 with its theoretical X-ray powder pattern. Radiation: Cu Kα (weighted mean of Kα1 and Kα2). Structure: a crystal structure in Alexandria, relaxed with PBE.

Structural model:
```
data_SmY5Au6
_space_group_name_H-M_alt 'P 1'
_space_group_IT_number 1
_space_group_name_Hall 'P 1'
_cell_length_a 8.8734
_cell_length_b 8.8734
_cell_length_c 5.1061
_cell_angle_alpha 106.67
_cell_angle_beta 106.67
_cell_angle_gamma 120.08
loop_
_atom_site_label
_atom_site_fract_x
_atom_site_fract_y
_atom_site_fract_z
Sm1 0.0000 0.0000 0.0000
Y1 0.1661 0.8339 0.5000
Y2 0.3328 0.6672 0.0000
Y3 0.5000 0.5000 0.5000
Y4 0.6672 0.3328 0.0000
Y5 0.8339 0.1661 0.5000
Au1 0.0843 0.4223 0.2532
Au2 0.2570 0.2570 0.7571
Au3 0.4223 0.0843 0.2532
Au4 0.5777 0.9157 0.7468
Au5 0.7430 0.7430 0.2429
Au6 0.9157 0.5777 0.7468
```

The 10 most intense peaks (2θ = 10–90°), low angle first:
2θ = 24.59°, 3.621 Å, I 15
2θ = 35.03°, 2.562 Å, I 100
2θ = 35.15°, 2.553 Å, I 20
2θ = 50.31°, 1.814 Å, I 7
2θ = 50.46°, 1.809 Å, I 14
2θ = 62.80°, 1.480 Å, I 26
2θ = 62.94°, 1.477 Å, I 11
2θ = 63.04°, 1.475 Å, I 7
2θ = 73.97°, 1.281 Å, I 7
2θ = 84.65°, 1.145 Å, I 7

2.
This entry pairs a crystal structure of Dy8Hg2Rh with its theoretical X-ray powder pattern. Radiation: Cu Kα (weighted mean of Kα1 and Kα2). Structure: a crystal structure in Alexandria, relaxed with PBE.

Structural model:
```
data_Dy8Hg2Rh
_space_group_name_H-M_alt 'P 1'
_space_group_IT_number 1
_space_group_name_Hall 'P 1'
_cell_length_a 9.2048
_cell_length_b 9.2048
_cell_length_c 6.8383
_cell_angle_alpha 106.03
_cell_angle_beta 106.03
_cell_angle_gamma 33.04
loop_
_atom_site_label
_atom_site_fract_x
_atom_site_fract_y
_atom_site_fract_z
Dy1 0.0237 0.0237 0.2821
Dy2 0.1995 0.1995 0.8047
Dy3 0.3469 0.3469 0.5418
Dy4 0.4118 0.4118 0.0696
Dy5 0.5882 0.5882 0.9304
Dy6 0.6531 0.6531 0.4582
Dy7 0.8005 0.8005 0.1953
Dy8 0.9763 0.9763 0.7179
Hg1 0.1873 0.1873 0.2255
Hg2 0.8127 0.8127 0.7745
Rh1 0.5000 0.5000 0.5000
```

The 10 most intense peaks (2θ = 10–90°), low angle first:
2θ = 29.24°, 3.055 Å, I 58
2θ = 31.15°, 2.871 Å, I 42
2θ = 31.35°, 2.853 Å, I 50
2θ = 31.50°, 2.840 Å, I 92
2θ = 32.28°, 2.773 Å, I 44
2θ = 33.98°, 2.638 Å, I 80
2θ = 34.26°, 2.618 Å, I 100
2θ = 36.52°, 2.460 Å, I 48
2θ = 39.80°, 2.265 Å, I 26
2θ = 59.60°, 1.551 Å, I 23

3.
This entry pairs a crystal structure of Tc2PRh with its theoretical X-ray powder pattern. Radiation: Cu Kα (weighted mean of Kα1 and Kα2). Structure: a crystal structure in Alexandria, relaxed with PBE.

Structural model:
```
data_Tc2PRh
_space_group_name_H-M_alt 'P 1'
_space_group_IT_number 1
_space_group_name_Hall 'P 1'
_cell_length_a 5.1345
_cell_length_b 5.1345
_cell_length_c 5.1345
_cell_angle_alpha 147.36
_cell_angle_beta 130.23
_cell_angle_gamma 60.80
loop_
_atom_site_label
_atom_site_fract_x
_atom_site_fract_y
_atom_site_fract_z
Tc1 0.2119 0.2119 0.0000
Tc2 0.7881 0.7881 0.0000
P1 0.0000 0.5000 0.5000
Rh1 0.5000 0.0000 0.5000
```

The 10 most intense peaks (2θ = 10–90°), low angle first:
2θ = 32.63°, 2.744 Å, I 16
2θ = 36.87°, 2.438 Å, I 34
2θ = 40.75°, 2.214 Å, I 19
2θ = 41.81°, 2.161 Å, I 31
2θ = 42.86°, 2.110 Å, I 100
2θ = 59.80°, 1.546 Å, I 12
2θ = 61.41°, 1.510 Å, I 12
2θ = 64.59°, 1.443 Å, I 8
2θ = 77.07°, 1.237 Å, I 29
2θ = 79.95°, 1.200 Å, I 9

4.
This entry pairs a crystal structure of AcHBr4 with its theoretical X-ray powder pattern. Radiation: Cu Kα (weighted mean of Kα1 and Kα2). Structure: a crystal structure in Alexandria, relaxed with PBE.

Structural model:
```
data_AcHBr4
_space_group_name_H-M_alt 'P 1'
_space_group_IT_number 1
_space_group_name_Hall 'P 1'
_cell_length_a 8.5647
_cell_length_b 8.5647
_cell_length_c 8.5606
_cell_angle_alpha 106.15
_cell_angle_beta 106.15
_cell_angle_gamma 116.29
loop_
_atom_site_label
_atom_site_fract_x
_atom_site_fract_y
_atom_site_fract_z
Ac1 0.1252 0.8748 0.5000
Ac2 0.8748 0.1252 0.0000
H1 0.1853 0.4348 0.0006
H2 0.4348 0.1853 0.5006
Br1 0.3240 0.4074 0.1668
Br2 0.4074 0.3240 0.6668
Br3 0.4073 0.9906 0.3335
Br4 0.4274 0.8810 0.7968
Br5 0.8349 0.8813 0.2040
Br6 0.8810 0.4274 0.2968
Br7 0.8813 0.8349 0.7040
Br8 0.9906 0.4073 0.8335
```

The 10 most intense peaks (2θ = 10–90°), low angle first:
2θ = 13.04°, 6.791 Å, I 100
2θ = 17.24°, 5.144 Å, I 89
2θ = 21.67°, 4.100 Å, I 63
2θ = 26.25°, 3.396 Å, I 65
2θ = 27.42°, 3.253 Å, I 35
2θ = 33.95°, 2.641 Å, I 79
2θ = 34.88°, 2.572 Å, I 30
2θ = 37.39°, 2.405 Å, I 34
2θ = 39.87°, 2.261 Å, I 27
2θ = 42.30°, 2.137 Å, I 61

Question: What is the formula in the third record?
Answer: Tc2PRh